For Mn2CdGeO6, a DFT-relaxed cell (PBE+U, Alexandria) gives the theoretical powder diffraction line list in this record (λ = 1.5418 Å (Cu Kα)).
Lines closer than 0.1° are merged.

Atomic structure:
a b c (Å): 5.1720 5.1720 14.6565
angles (deg): 90.00 90.00 120.00
Space group R3 (No. 146, hexagonal axes)
Asymmetric unit:
1 Mn 0.0000 0.0000 0.0000 (multiplicity 3)
2 Mn 0.0000 0.0000 0.4809 (multiplicity 3)
3 Cd 0.0000 0.0000 0.2100 (multiplicity 3)
4 Ge 0.0000 0.0000 0.6834 (multiplicity 3)
5 O 0.0180 0.6112 0.2641 (multiplicity 9)
6 O 0.0320 0.3403 0.7457 (multiplicity 9)

Peak list (6 most intense, 2θ from 15° to 90°, in order of falling intensity)
2theta  intensity  (hkl)
31.55  100.0  1 0 4
34.69  84.3  1 1 0
23.28  45.4  0 1 2
51.46  42.0  2 -1 6
47.59  36.4  0 2 4
60.22  32.4  3 -1 4